The following is a computed powder XRD pattern of Cr2P3O12. It was derived from DFT lattice parameters and positions (GGA+U), using a wavelength of 1.5418 Å.

Main lines, in order of rising 2θ (10° ≤ 2θ ≤ 90°):
(0 1 2), 2θ 14.51, d = 6.104 Å, I 34; (1 0 4), 2θ 20.42, d = 4.350 Å, I 56; (1 1 0), 2θ 20.73, d = 4.284 Å, I 25; (1 1 3), 2θ 24.21, d = 3.676 Å, I 100; (0 2 4), 2θ 29.26, d = 3.052 Å, I 41; (2 1 1), 2θ 32.19, d = 2.781 Å, I 16; (1 1 6), 2θ 32.60, d = 2.747 Å, I 26; (3 0 0), 2θ 36.32, d = 2.473 Å, I 13; (1 2 8), 2θ 46.85, d = 1.939 Å, I 13; (4 1 0), 2θ 56.86, d = 1.619 Å, I 12

Structure:
a b c (Å): 8.5683 8.5683 21.4741
angles (deg): 90.00 90.00 120.00
Space group R-3c (No. 167, hexagonal axes)
Asymmetric unit:
Cr1 0.0000 0.0000 0.1412
P1 0.0000 0.2852 0.2500
O1 0.0196 0.1971 0.1907
O2 0.0231 0.1904 0.9135